No. 1
For ReCl5, DFT lattice parameters and positions (PBE) gives the simulated X-ray powder pattern in this record (Cu Kα (weighted mean of Kα1 and Kα2)).
Intensities are scaled so that the largest is 100.

Largest 12 diffraction maxima, by angle, 2θ from 10° to 80°:
hkl	Position (°2θ)	I_rel
0 1 -1	15.23	99
1 0 0	16.35	100
1 0 -1	17.77	39
1 -1 1	17.92	37
0 0 2	21.09	34
0 1 1	21.78	30
1 1 1	32.60	37
2 -2 1	33.00	36
1 0 -3	33.16	38
1 2 0	42.23	30
1 1 -4	43.21	24
3 -1 2	51.50	22

Atomic structure:
abc: 6.161 6.850 9.056
angles: 108.93 90.49 116.45
Space group P-1 (No. 2)
Inequivalent atoms, fractional coordinates:
Re (0.101, 0.207, 0.212) [2 per cell]
Cl (0.068, 0.811, 0.570) [2 per cell]
Cl (0.124, 0.638, 0.859) [2 per cell]
Cl (0.243, 0.182, 0.953) [2 per cell]
Cl (0.306, 0.014, 0.243) [2 per cell]
Cl (0.433, 0.562, 0.332) [2 per cell]



No. 2
For ReCl6, DFT lattice parameters and positions (PBE) gives the simulated X-ray powder pattern in this record (Cu Kα (weighted mean of Kα1 and Kα2)).
Intensities are scaled so that the largest is 100.

Largest 12 diffraction maxima, by angle, 2θ from 10° to 80°:
hkl	Position (°2θ)	I_rel
0 0 2	15.74	94
1 1 0	16.42	44
1 1 -1	18.13	96
1 1 1	18.31	100
0 2 1	19.13	81
1 1 3	29.14	23
0 2 3	29.56	25
2 0 -2	32.09	49
1 3 2	34.00	93
1 3 -4	43.98	28
1 3 4	44.28	46
3 3 0	50.73	27

Atomic structure:
abc: 6.368 10.184 11.263
angles: 90.00 90.84 90.00
Space group C2/c (No. 15)
Inequivalent atoms, fractional coordinates:
Re (0.000, 0.167, 0.250) [4 per cell]
Cl (0.141, 0.326, 0.371) [8 per cell]
Cl (0.144, 0.007, 0.369) [8 per cell]
Cl (0.201, 0.334, 0.861) [8 per cell]



No. 3
For ReCl7, DFT lattice parameters and positions (PBE) gives the simulated X-ray powder pattern in this record (Cu Kα (weighted mean of Kα1 and Kα2)).
Intensities are scaled so that the largest is 100.

Largest 12 diffraction maxima, by angle, 2θ from 10° to 80°:
hkl	Position (°2θ)	I_rel
0 0 2	15.39	100
1 0 0	15.64	89
0 1 -1	16.83	41
1 0 -1	17.18	29
1 0 1	17.76	36
0 1 1	17.98	45
1 -1 1	18.34	52
-1 1 1	18.88	43
1 0 -2	21.57	18
1 1 2	31.76	69
-2 1 2	32.87	16
2 -2 0	34.24	21

Atomic structure:
abc: 6.214 6.256 11.554
angles: 94.13 90.46 114.40
Space group P-1 (No. 2)
Inequivalent atoms, fractional coordinates:
Re (0.124, 0.360, 0.248) [2 per cell]
Cl (0.054, 0.385, 0.796) [2 per cell]
Cl (0.149, 0.103, 0.385) [2 per cell]
Cl (0.159, 0.670, 0.610) [2 per cell]
Cl (0.168, 0.942, 0.863) [2 per cell]
Cl (0.290, 0.541, 0.076) [2 per cell]
Cl (0.388, 0.199, 0.178) [2 per cell]
Cl (0.421, 0.665, 0.354) [2 per cell]



No. 4
For ReCl5, DFT lattice parameters and positions (PBE) gives the simulated X-ray powder pattern in this record (Cu Kα (weighted mean of Kα1 and Kα2)).
Intensities are scaled so that the largest is 100.

Largest 12 diffraction maxima, by angle, 2θ from 10° to 80°:
hkl	Position (°2θ)	I_rel
1 0 0	13.94	33
1 0 1	17.88	100
0 0 2	22.36	18
1 1 0	24.27	41
2 0 0	28.10	19
1 0 3	36.75	30
2 1 1	39.21	31
3 0 0	42.71	9
2 2 0	49.73	14
2 1 3	51.36	24
3 1 1	53.27	11
3 1 3	63.41	11

Atomic structure:
abc: 7.3331 7.3331 7.9504
angles: 90.00 90.00 120.00
Space group P6_3/mmc (No. 194)
Inequivalent atoms, fractional coordinates:
Re (0.3333, 0.6667, 0.2500) [2 per cell]
Cl (0.1591, 0.3181, 0.2500) [6 per cell]
Cl (0.3333, 0.6667, 0.5414) [4 per cell]



What did the first record say?
For ReCl5, DFT lattice parameters and positions (PBE) gives the simulated X-ray powder pattern in this record (Cu Kα (weighted mean of Kα1 and Kα2)).
Intensities are scaled so that the largest is 100.

Largest 12 diffraction maxima, by angle, 2θ from 10° to 80°:
hkl	Position (°2θ)	I_rel
0 1 -1	15.23	99
1 0 0	16.35	100
1 0 -1	17.77	39
1 -1 1	17.92	37
0 0 2	21.09	34
0 1 1	21.78	30
1 1 1	32.60	37
2 -2 1	33.00	36
1 0 -3	33.16	38
1 2 0	42.23	30
1 1 -4	43.21	24
3 -1 2	51.50	22

Atomic structure:
abc: 6.161 6.850 9.056
angles: 108.93 90.49 116.45
Space group P-1 (No. 2)
Inequivalent atoms, fractional coordinates:
Re (0.101, 0.207, 0.212) [2 per cell]
Cl (0.068, 0.811, 0.570) [2 per cell]
Cl (0.124, 0.638, 0.859) [2 per cell]
Cl (0.243, 0.182, 0.953) [2 per cell]
Cl (0.306, 0.014, 0.243) [2 per cell]
Cl (0.433, 0.562, 0.332) [2 per cell]